# 1
This entry pairs a crystal structure of Sr4Re2NiO12 with its simulated powder diffraction line list. Radiation: Cu Ka. Structure: a cell relaxed with GGA+U.

Principal peaks in the range 15 to 90 degrees two-theta, by intensity:
2θ = 29.51°, intensity 100, (1 0 7)
2θ = 32.00°, intensity 90, (1 1 0)
2θ = 44.08°, intensity 57, (0 2 7)
2θ = 55.50°, intensity 34, (2 1 7)
2θ = 18.61°, intensity 28, (1 0 1)
2θ = 66.91°, intensity 18, (2 2 0)
2θ = 57.04°, intensity 18, (3 0 0)
2θ = 50.72°, intensity 16, (0 1 14)
2θ = 74.78°, intensity 15, (1 3 7)
2θ = 37.82°, intensity 13, (1 1 6)
2θ = 19.62°, intensity 13, (0 0 6)
2θ = 70.78°, intensity 12, (1 2 14)

Structural model:
```
data_Sr4Re2NiO12
_symmetry_space_group_name_H-M 'R -3 m'
_symmetry_Int_Tables_number 166
_symmetry_space_group_name_Hall '-R 3 2"'
_cell_length_a 5.5936
_cell_length_b 5.5936
_cell_length_c 27.1425
_cell_angle_alpha 90.00
_cell_angle_beta 90.00
_cell_angle_gamma 120.00
loop_
_atom_site_label
_atom_site_fract_x
_atom_site_fract_y
_atom_site_fract_z
Sr1 0.0000 0.0000 0.1325
Sr2 0.0000 0.0000 0.2918
Re1 0.0000 0.0000 0.4202
Ni1 0.0000 0.0000 0.0000
O1 0.0083 0.5042 0.1230
O2 0.0140 0.5070 0.2899
```


# 2
This entry pairs a crystal structure of LuMoBrO4 with its simulated powder diffraction line list. Radiation: Cu Ka. Structure: a cell relaxed with GGA+U.

Principal peaks in the range 15 to 90 degrees two-theta, by intensity:
2θ = 24.93°, intensity 100, (0 2 -1)
2θ = 26.05°, intensity 44, (1 0 2)
2θ = 30.24°, intensity 34, (2 1 -2)
2θ = 31.05°, intensity 31, (-1 1 3)
2θ = 27.43°, intensity 27, (2 0 0)
2θ = 17.93°, intensity 26, (0 0 2)
2θ = 33.89°, intensity 25, (1 1 -4)
2θ = 27.78°, intensity 24, (-2 1 1)
2θ = 36.26°, intensity 23, (2 -2 1)
2θ = 35.81°, intensity 16, (1 2 1)
2θ = 51.15°, intensity 13, (0 4 -2)
2θ = 51.88°, intensity 12, (1 3 -5)

Structural model:
```
data_LuMoBrO4
_symmetry_space_group_name_H-M 'P -1'
_symmetry_Int_Tables_number 2
_cell_length_a 6.9379
_cell_length_b 7.2025
_cell_length_c 10.7770
_cell_angle_alpha 102.83
_cell_angle_beta 107.81
_cell_angle_gamma 95.43
loop_
_symmetry_equiv_pos_as_xyz
'x,y,z'
'-x,-y,-z'
loop_
_atom_site_label
_atom_site_fract_x
_atom_site_fract_y
_atom_site_fract_z
Lu1 0.1207 0.3345 0.2324
Lu2 0.1643 0.0991 0.7300
Mo1 0.2275 0.8161 0.1340
Mo2 0.2720 0.5854 0.6270
Br1 0.2345 0.9929 0.4790
Br2 0.3099 0.2789 0.0152
O1 0.0925 0.0127 0.1858
O2 0.1481 0.6264 0.2000
O3 0.1540 0.7817 0.7040
O4 0.1549 0.7333 0.9553
O5 0.1692 0.5005 0.4463
O6 0.2278 0.3918 0.6986
O7 0.4586 0.3450 0.3295
O8 0.4993 0.8877 0.2051
```


# 3
This entry pairs a crystal structure of MgCr3S6O24 with its simulated powder diffraction line list. Radiation: Cu Ka. Structure: a cell relaxed with GGA+U.

Principal peaks in the range 15 to 90 degrees two-theta, by intensity:
2θ = 24.35°, intensity 100, (1 -2 1)
2θ = 23.79°, intensity 66, (1 1 0)
2θ = 24.63°, intensity 59, (-2 1 2)
2θ = 24.21°, intensity 45, (-1 2 1)
2θ = 31.79°, intensity 40, (1 -2 2)
2θ = 23.14°, intensity 38, (0 0 2)
2θ = 31.09°, intensity 35, (1 1 1)
2θ = 29.47°, intensity 33, (-2 2 2)
2θ = 19.75°, intensity 30, (1 -1 1)
2θ = 32.05°, intensity 27, (-2 1 3)
2θ = 29.14°, intensity 27, (0 2 -2)
2θ = 19.90°, intensity 25, (1 0 -2)

Structural model:
```
data_MgCr3S6O24
_symmetry_space_group_name_H-M 'P 1'
_symmetry_Int_Tables_number 1
_cell_length_a 8.2527
_cell_length_b 8.3525
_cell_length_c 8.9890
_cell_angle_alpha 90.42
_cell_angle_beta 116.79
_cell_angle_gamma 118.79
loop_
_symmetry_equiv_pos_as_xyz
'x,y,z'
loop_
_atom_site_label
_atom_site_fract_x
_atom_site_fract_y
_atom_site_fract_z
Mg1 0.0000 0.0000 0.0000
Cr1 0.3457 0.8722 0.5763
Cr2 0.3733 0.3908 0.1052
Cr3 0.7667 0.5747 0.6905
S1 0.2690 0.9738 0.8938
S2 0.2947 0.2003 0.4058
S3 0.5391 0.6603 0.8688
S4 0.5551 0.7582 0.3968
S5 0.8335 0.2673 0.8863
S6 0.8621 0.4982 0.3942
O1 0.0269 0.2446 0.9482
O2 0.0321 0.8387 0.8618
O3 0.0656 0.6294 0.3967
O4 0.1701 0.2686 0.4147
O5 0.2206 0.0020 0.4178
O6 0.2531 0.9523 0.7234
O7 0.2755 0.1845 0.2236
O8 0.3031 0.1652 0.9415
O9 0.3822 0.5710 0.2556
O10 0.4007 0.6932 0.7135
O11 0.4051 0.5496 0.9413
O12 0.4129 0.9342 0.0252
O13 0.4416 0.8454 0.4126
O14 0.5324 0.3216 0.5311
O15 0.6094 0.5448 0.8173
O16 0.6485 0.7180 0.5712
O17 0.6578 0.0992 0.7298
O18 0.6883 0.5092 0.2429
O19 0.7271 0.8787 0.3673
O20 0.7336 0.8431 0.9978
O21 0.7861 0.2771 0.0200
O22 0.8082 0.3067 0.3888
O23 0.9024 0.5985 0.5614
O24 0.9050 0.4504 0.8366
```


# 4
This entry pairs a crystal structure of Gd2MnNiO6 with its simulated powder diffraction line list. Radiation: Cu Ka. Structure: a cell relaxed with GGA+U.

Principal peaks in the range 15 to 90 degrees two-theta, by intensity:
2θ = 32.81°, intensity 100, (1 1 1)
2θ = 33.00°, intensity 99, (1 1 -3)
2θ = 33.56°, intensity 49, (2 0 -2)
2θ = 31.66°, intensity 38, (0 2 0)
2θ = 59.77°, intensity 38, (2 0 -6)
2θ = 46.80°, intensity 36, (2 2 -2)
2θ = 52.91°, intensity 36, (1 3 0)
2θ = 22.91°, intensity 34, (1 1 -1)
2θ = 47.65°, intensity 28, (0 0 4)
2θ = 33.82°, intensity 27, (0 2 1)
2θ = 23.30°, intensity 23, (0 0 2)
2θ = 59.41°, intensity 22, (3 1 -1)

Structural model:
```
data_Gd2MnNiO6
_symmetry_space_group_name_H-M 'P 1 21/c 1'
_symmetry_Int_Tables_number 14
_cell_length_a 5.3411
_cell_length_b 5.6520
_cell_length_c 9.2834
_cell_angle_alpha 90.00
_cell_angle_beta 124.68
_cell_angle_gamma 90.00
loop_
_symmetry_equiv_pos_as_xyz
'x,y,z'
'-x,-y,-z'
'-x,y+1/2,-z+1/2'
'x,-y+1/2,z+1/2'
loop_
_atom_site_label
_atom_site_fract_x
_atom_site_fract_y
_atom_site_fract_z
Gd1 0.2293 0.0657 0.2479
Mn1 0.5000 0.0000 0.0000
Ni1 0.0000 0.0000 0.5000
O1 0.1568 0.1890 0.9507
O2 0.2568 0.7126 0.9419
O3 0.3641 0.0373 0.7596
```


# 5
This entry pairs a crystal structure of Sr3NbCoO7 with its simulated powder diffraction line list. Radiation: Cu Ka. Structure: a cell relaxed with GGA+U.

Principal peaks in the range 15 to 90 degrees two-theta, by intensity:
2θ = 30.63°, intensity 100, (0 2 2)
2θ = 31.81°, intensity 63, (2 1 -1)
2θ = 55.93°, intensity 37, (4 0 1)
2θ = 45.58°, intensity 19, (0 4 -1)
2θ = 45.63°, intensity 19, (-4 2 1)
2θ = 53.70°, intensity 15, (2 1 4)
2θ = 42.08°, intensity 15, (0 0 5)
2θ = 44.26°, intensity 10, (0 2 4)
2θ = 25.62°, intensity 10, (-2 1 2)
2θ = 40.80°, intensity 9, (2 1 2)
2θ = 46.77°, intensity 8, (2 1 -5)
2θ = 63.75°, intensity 8, (0 4 4)

Structural model:
```
data_Sr3NbCoO7
_symmetry_space_group_name_H-M 'P 1'
_symmetry_Int_Tables_number 1
_cell_length_a 7.9534
_cell_length_b 8.8994
_cell_length_c 11.0997
_cell_angle_alpha 94.60
_cell_angle_beta 100.32
_cell_angle_gamma 116.54
loop_
_symmetry_equiv_pos_as_xyz
'x,y,z'
loop_
_atom_site_label
_atom_site_fract_x
_atom_site_fract_y
_atom_site_fract_z
Sr1 0.0000 0.0000 0.0000
Sr2 0.0302 0.6856 0.7495
Sr3 0.1631 0.1050 0.4232
Sr4 0.2491 0.4983 0.0001
Sr5 0.2819 0.1873 0.7512
Sr6 0.4084 0.6062 0.4239
Sr7 0.5003 0.9987 0.0018
Sr8 0.5302 0.6863 0.7498
Sr9 0.6526 0.1040 0.4238
Sr10 0.7504 0.5000 0.0016
Sr11 0.7808 0.1874 0.7513
Sr12 0.9079 0.6043 0.4233
Nb1 0.1949 0.7956 0.1879
Nb2 0.4454 0.2964 0.1885
Nb3 0.6954 0.7967 0.1885
Nb4 0.9450 0.2956 0.1887
Co1 0.0966 0.3958 0.5948
Co2 0.3505 0.9019 0.5998
Co3 0.5972 0.3956 0.5989
Co4 0.8492 0.8998 0.5955
O1 0.0110 0.3360 0.3676
O2 0.0664 0.5432 0.1786
O3 0.1022 0.8924 0.5773
O4 0.1211 0.7465 0.9922
O5 0.1624 0.4353 0.7793
O6 0.1911 0.2936 0.1766
O7 0.2060 0.6253 0.5755
O8 0.2637 0.8405 0.3668
O9 0.3161 0.0435 0.1780
O10 0.3532 0.3949 0.5779
O11 0.3734 0.2478 0.9927
O12 0.4150 0.9368 0.7831
O13 0.4408 0.7928 0.1765
O14 0.4671 0.1446 0.5831
O15 0.5112 0.3399 0.3673
O16 0.5672 0.5443 0.1792
O17 0.5802 0.8936 0.5790
O18 0.6220 0.7463 0.9921
O19 0.6720 0.4519 0.7827
O20 0.6919 0.2940 0.1785
O21 0.7243 0.6608 0.5752
O22 0.7641 0.8469 0.3674
O23 0.8155 0.0428 0.1744
O24 0.8294 0.3935 0.5775
O25 0.8717 0.2481 0.9923
O26 0.9240 0.9541 0.7793
O27 0.9413 0.7935 0.1780
O28 0.9657 0.1431 0.5747
```


# 6
This entry pairs a crystal structure of LiV2Si2O8 with its simulated powder diffraction line list. Radiation: Cu Ka. Structure: a cell relaxed with GGA+U.

Principal peaks in the range 15 to 90 degrees two-theta, by intensity:
2θ = 20.23°, intensity 100, (1 1 0)
2θ = 17.54°, intensity 88, (0 2 0)
2θ = 30.59°, intensity 85, (0 0 2)
2θ = 35.91°, intensity 74, (1 3 1)
2θ = 25.31°, intensity 69, (1 1 -1)
2θ = 25.46°, intensity 69, (1 1 1)
2θ = 35.80°, intensity 63, (1 3 -1)
2θ = 23.26°, intensity 45, (0 2 1)
2θ = 40.22°, intensity 35, (1 4 0)
2θ = 63.74°, intensity 32, (0 6 2)
2θ = 36.85°, intensity 24, (1 1 -2)
2θ = 51.36°, intensity 24, (1 5 1)

Structural model:
```
data_LiV2Si2O8
_symmetry_space_group_name_H-M 'P 1 21 1'
_symmetry_Int_Tables_number 4
_cell_length_a 4.8713
_cell_length_b 10.1126
_cell_length_c 5.8453
_cell_angle_alpha 90.00
_cell_angle_beta 90.41
_cell_angle_gamma 90.00
loop_
_symmetry_equiv_pos_as_xyz
'x,y,z'
'-x,y+1/2,-z'
loop_
_atom_site_label
_atom_site_fract_x
_atom_site_fract_y
_atom_site_fract_z
Li1 0.2414 0.0000 0.2982
V1 0.2451 0.7504 0.9907
V2 0.2547 0.2834 0.5102
Si1 0.1921 0.6120 0.4973
Si2 0.3172 0.4233 0.0117
O1 0.0130 0.9000 0.0041
O2 0.0299 0.6866 0.7172
O3 0.0410 0.6998 0.2887
O4 0.0831 0.4603 0.4970
O5 0.3902 0.5822 0.0128
O6 0.4772 0.1227 0.4861
O7 0.4805 0.3414 0.2169
O8 0.4888 0.3536 0.7958
```


# 7
This entry pairs a crystal structure of Er2MgTl2W4O16 with its simulated powder diffraction line list. Radiation: Cu Ka. Structure: a cell relaxed with GGA+U.

Principal peaks in the range 15 to 90 degrees two-theta, by intensity:
2θ = 27.27°, intensity 100, (0 2 0)
2θ = 29.28°, intensity 69, (2 2 0)
2θ = 28.95°, intensity 68, (2 0 2)
2θ = 31.19°, intensity 45, (2 0 0)
2θ = 26.10°, intensity 40, (0 0 2)
2θ = 32.03°, intensity 39, (0 1 2)
2θ = 26.76°, intensity 38, (0 1 -2)
2θ = 32.15°, intensity 36, (2 2 2)
2θ = 47.04°, intensity 34, (2 1 4)
2θ = 46.31°, intensity 25, (2 1 -2)
2θ = 48.53°, intensity 22, (4 2 2)
2θ = 27.62°, intensity 22, (0 2 -1)

Structural model:
```
data_Er2MgTl2W4O16
_symmetry_space_group_name_H-M 'P 1'
_symmetry_Int_Tables_number 1
_cell_length_a 7.5084
_cell_length_b 7.5899
_cell_length_c 7.8994
_cell_angle_alpha 86.91
_cell_angle_beta 62.21
_cell_angle_gamma 61.92
loop_
_symmetry_equiv_pos_as_xyz
'x,y,z'
loop_
_atom_site_label
_atom_site_fract_x
_atom_site_fract_y
_atom_site_fract_z
Er1 0.0000 0.0000 0.0000
Er2 0.4885 0.4672 0.5832
Mg1 0.3597 0.2444 0.3118
Tl1 0.5307 0.9912 0.9368
Tl2 0.9241 0.4888 0.6588
W1 0.0529 0.9432 0.4703
W2 0.4478 0.5448 0.1038
W3 0.5592 0.9138 0.4864
W4 0.9551 0.5350 0.1020
O1 0.0549 0.2641 0.0327
O2 0.1330 0.5879 0.8675
O3 0.1955 0.4580 0.1830
O4 0.1956 0.8510 0.1715
O5 0.3061 0.6325 0.4038
O6 0.3103 0.0070 0.3981
O7 0.3738 0.8774 0.7274
O8 0.4474 0.2107 0.5235
O9 0.5424 0.4868 0.8399
O10 0.6380 0.2627 0.1249
O11 0.7013 0.6126 0.0402
O12 0.7195 0.5938 0.3851
O13 0.7952 0.8549 0.1990
O14 0.8225 0.8583 0.5371
O15 0.8568 0.2003 0.4623
O16 0.9768 0.9775 0.7294
```